# MgCr2S4
Computed XRD peak list, λ = 1.5418 Å (Cu Kα). Input: a cell relaxed with GGA-PBE.
Lines closer than 0.1° are merged.

Largest 6 diffraction maxima, in order of falling intensity, 2θ from 10° to 90°:
d 3.126, 28.56°, I 100; d 4.918, 18.04°, I 47; d 1.878, 48.46°, I 39; d 1.680, 54.64°, I 26; d 1.992, 45.55°, I 23; d 1.127, 86.34°, I 12

Structure:
a b c (Å): 5.6329 5.6329 10.0848
angles (deg): 90.00 90.00 90.00
Fractional coordinates of all 14 atoms:
Mg: 0.0000 0.0000 0.0000
Mg: 0.5000 0.5000 0.5000
Cr: 0.0000 0.0000 0.5000
Cr: 0.0000 0.5000 0.2500
Cr: 0.5000 0.0000 0.7500
Cr: 0.5000 0.5000 0.0000
S: 0.2224 0.7532 0.3711
S: 0.2468 0.2224 0.6289
S: 0.2532 0.2776 0.1289
S: 0.2776 0.7468 0.8711
S: 0.7224 0.2532 0.8711
S: 0.7468 0.7224 0.1289
S: 0.7532 0.7776 0.6289
S: 0.7776 0.2468 0.3711

# Rb2HgC4N4
Computed XRD peak list, λ = 1.5418 Å (Cu Kα). Input: a cell relaxed with GGA-PBE.
Lines closer than 0.1° are merged.

Largest 6 diffraction maxima, in order of falling intensity, 2θ from 10° to 90°:
d 3.970, 22.39°, I 100; d 4.764, 18.62°, I 54; d 4.584, 19.36°, I 49; d 4.086, 21.75°, I 47; d 2.382, 37.76°, I 37; d 3.916, 22.71°, I 36

Structure:
a b c (Å): 16.7409 16.7409 16.7409
angles (deg): 31.79 31.79 31.79
Fractional coordinates of all 44 atoms:
Rb: 0.0000 0.0000 0.0000
Rb: 0.1863 0.7500 0.3137
Rb: 0.2500 0.6863 0.8137
Rb: 0.3137 0.1863 0.7500
Rb: 0.5000 0.5000 0.5000
Rb: 0.6863 0.8137 0.2500
Rb: 0.7500 0.3137 0.1863
Rb: 0.8137 0.2500 0.6863
Hg: 0.1878 0.1878 0.1878
Hg: 0.3122 0.3122 0.3122
Hg: 0.6878 0.6878 0.6878
Hg: 0.8122 0.8122 0.8122
C: 0.0534 0.6262 0.7116
C: 0.1262 0.5534 0.2116
C: 0.1416 0.1416 0.1416
C: 0.2116 0.1262 0.5534
C: 0.2884 0.9466 0.3738
C: 0.3584 0.3584 0.3584
C: 0.3738 0.2884 0.9466
C: 0.4466 0.7884 0.8738
C: 0.5534 0.2116 0.1262
C: 0.6262 0.7116 0.0534
C: 0.6416 0.6416 0.6416
C: 0.7116 0.0534 0.6262
C: 0.7884 0.8738 0.4466
C: 0.8584 0.8584 0.8584
C: 0.8738 0.4466 0.7884
C: 0.9466 0.3738 0.2884
N: 0.0332 0.6821 0.1504
N: 0.1169 0.1169 0.1169
N: 0.1504 0.0332 0.6821
N: 0.1821 0.5332 0.6504
N: 0.3179 0.8496 0.9668
N: 0.3496 0.8179 0.4668
N: 0.3831 0.3831 0.3831
N: 0.4668 0.3496 0.8179
N: 0.5332 0.6504 0.1821
N: 0.6169 0.6169 0.6169
N: 0.6504 0.1821 0.5332
N: 0.6821 0.1504 0.0332
N: 0.8179 0.4668 0.3496
N: 0.8496 0.9668 0.3179
N: 0.8831 0.8831 0.8831
N: 0.9668 0.3179 0.8496

# V8Ga41
Computed XRD peak list, λ = 1.5418 Å (Cu Kα). Input: a cell relaxed with GGA-PBE.
Lines closer than 0.1° are merged.

Largest 6 diffraction maxima, in order of falling intensity, 2θ from 10° to 90°:
d 2.029, 44.66°, I 100; d 2.863, 31.24°, I 94; d 2.232, 40.41°, I 80; d 2.020, 44.87°, I 79; d 2.335, 38.55°, I 49; d 2.606, 34.42°, I 42

Structure:
a b c (Å): 9.4919 9.4919 9.4919
angles (deg): 94.98 94.98 94.98
Fractional coordinates of all 49 atoms:
V: 0.1055 0.3869 0.7110
V: 0.1858 0.1858 0.1858
V: 0.2890 0.8945 0.6131
V: 0.3869 0.7110 0.1055
V: 0.6131 0.2890 0.8945
V: 0.7110 0.1055 0.3869
V: 0.8142 0.8142 0.8142
V: 0.8945 0.6131 0.2890
Ga: 0.0000 0.0000 0.0000
Ga: 0.0000 0.5000 0.5000
Ga: 0.0332 0.3984 0.2150
Ga: 0.0559 0.8731 0.7293
Ga: 0.0780 0.7762 0.4476
Ga: 0.1269 0.2707 0.9441
Ga: 0.1302 0.6749 0.1767
Ga: 0.1767 0.1302 0.6749
Ga: 0.2150 0.0332 0.3984
Ga: 0.2195 0.3272 0.4585
Ga: 0.2238 0.5524 0.9220
Ga: 0.2604 0.6151 0.6349
Ga: 0.2707 0.9441 0.1269
Ga: 0.3251 0.8233 0.8698
Ga: 0.3272 0.4585 0.2195
Ga: 0.3651 0.7396 0.3849
Ga: 0.3849 0.3651 0.7396
Ga: 0.3984 0.2150 0.0332
Ga: 0.4476 0.0780 0.7762
Ga: 0.4585 0.2195 0.3272
Ga: 0.5000 0.0000 0.5000
Ga: 0.5000 0.5000 0.0000
Ga: 0.5000 0.5000 0.5000
Ga: 0.5415 0.7805 0.6728
Ga: 0.5524 0.9220 0.2238
Ga: 0.6016 0.7850 0.9668
Ga: 0.6151 0.6349 0.2604
Ga: 0.6349 0.2604 0.6151
Ga: 0.6728 0.5415 0.7805
Ga: 0.6749 0.1767 0.1302
Ga: 0.7293 0.0559 0.8731
Ga: 0.7396 0.3849 0.3651
Ga: 0.7762 0.4476 0.0780
Ga: 0.7805 0.6728 0.5415
Ga: 0.7850 0.9668 0.6016
Ga: 0.8233 0.8698 0.3251
Ga: 0.8698 0.3251 0.8233
Ga: 0.8731 0.7293 0.0559
Ga: 0.9220 0.2238 0.5524
Ga: 0.9441 0.1269 0.2707
Ga: 0.9668 0.6016 0.7850

> Which formula does entry 3 have?

V8Ga41